Structure and calculated powder diffraction line list of Ba2Na2US4O2 (a PBE-relaxed structure; Cu Kα (λ = 1.5418 Å)).
Lines closer than 0.1° are merged.

Main lines, by angle (2θ = 15–90°):
| 2theta | d_spacing | Rel. int. |
| --- | --- | --- |
| 16.67 | 5.318 | 40 |
| 17.66 | 5.022 | 46 |
| 19.27 | 4.605 | 74 |
| 24.56 | 3.625 | 100 |
| 26.27 | 3.392 | 52 |
| 26.74 | 3.334 | 53 |
| 28.15 | 3.170 | 96 |
| 30.56 | 2.925 | 87 |
| 31.94 | 2.802 | 62 |
| 37.86 | 2.376 | 45 |

Atomic structure:
a b c (Å): 6.448 6.826 6.880
angles (deg): 81.19 66.77 71.85
Element x y z (fractional)
Ba: 0.081 0.189 0.174
Ba: 0.919 0.811 0.826
Na: 0.363 0.593 0.290
Na: 0.637 0.407 0.710
U: 0.500 0.000 0.500
S: 0.177 0.341 0.683
S: 0.401 0.804 0.878
S: 0.599 0.196 0.122
S: 0.823 0.659 0.317
O: 0.264 0.916 0.456
O: 0.736 0.084 0.544

Structure and calculated powder diffraction line list of BaNaSr3Sb3O12 (a PBE-relaxed structure; Cu Kα (λ = 1.5418 Å)).
Lines closer than 0.1° are merged.

Main lines, by angle (2θ = 15–90°):
| 2theta | d_spacing | Rel. int. |
| --- | --- | --- |
| 15.19 | 5.832 | 17 |
| 30.29 | 2.951 | 24 |
| 30.62 | 2.920 | 100 |
| 30.74 | 2.908 | 24 |
| 43.70 | 2.071 | 32 |
| 44.01 | 2.058 | 15 |
| 54.02 | 1.697 | 22 |
| 54.60 | 1.681 | 30 |
| 63.76 | 1.460 | 18 |
| 88.99 | 1.100 | 10 |

Atomic structure:
a b c (Å): 8.286 8.286 8.230
angles (deg): 90.00 90.00 90.83
Element x y z (fractional)
Ba: 0.002 0.998 0.750
Ba: 0.998 0.002 0.250
Na: 0.250 0.250 0.500
Na: 0.750 0.750 0.000
Sr: 0.002 0.504 0.255
Sr: 0.494 0.506 0.250
Sr: 0.496 0.998 0.245
Sr: 0.504 0.002 0.745
Sr: 0.506 0.494 0.750
Sr: 0.998 0.496 0.755
Sb: 0.253 0.253 0.000
Sb: 0.253 0.746 0.500
Sb: 0.254 0.747 0.000
Sb: 0.746 0.253 0.500
Sb: 0.747 0.254 0.000
Sb: 0.747 0.747 0.500
O: 0.001 0.744 0.532
O: 0.024 0.738 0.972
O: 0.221 0.284 0.772
O: 0.224 0.776 0.250
O: 0.248 0.517 0.467
O: 0.256 0.499 0.042
O: 0.256 0.999 0.968
O: 0.262 0.976 0.528
O: 0.284 0.221 0.228
O: 0.287 0.713 0.750
O: 0.483 0.752 0.033
O: 0.499 0.256 0.958
O: 0.501 0.744 0.458
O: 0.517 0.248 0.533
O: 0.713 0.287 0.250
O: 0.716 0.779 0.728
O: 0.738 0.024 0.028
O: 0.744 0.001 0.468
O: 0.744 0.501 0.542
O: 0.752 0.483 0.967
O: 0.776 0.224 0.750
O: 0.779 0.716 0.272
O: 0.976 0.262 0.472
O: 0.999 0.256 0.032

Structure and calculated powder diffraction line list of Ba3NaSrSb3O12 (a PBE-relaxed structure; Cu Kα (λ = 1.5418 Å)).
Lines closer than 0.1° are merged.

Main lines, by angle (2θ = 15–90°):
| 2theta | d_spacing | Rel. int. |
| --- | --- | --- |
| 30.15 | 2.964 | 100 |
| 30.29 | 2.951 | 20 |
| 43.12 | 2.098 | 13 |
| 43.23 | 2.093 | 25 |
| 53.50 | 1.713 | 24 |
| 53.60 | 1.710 | 8 |
| 53.73 | 1.706 | 16 |
| 62.71 | 1.482 | 15 |
| 71.08 | 1.326 | 11 |
| 86.87 | 1.121 | 13 |

Atomic structure:
a b c (Å): 8.371 8.371 8.391
angles (deg): 90.00 90.00 90.34
Element x y z (fractional)
Ba: 0.000 0.000 0.000
Ba: 0.000 0.500 0.000
Ba: 0.000 0.500 0.500
Ba: 0.500 0.000 0.000
Ba: 0.500 0.000 0.500
Ba: 0.500 0.500 0.000
Na: 0.250 0.750 0.750
Na: 0.750 0.250 0.250
Sr: 0.000 0.000 0.500
Sr: 0.500 0.500 0.500
Sb: 0.250 0.250 0.252
Sb: 0.250 0.250 0.748
Sb: 0.250 0.750 0.252
Sb: 0.750 0.250 0.748
Sb: 0.750 0.750 0.252
Sb: 0.750 0.750 0.748
O: 0.000 0.242 0.745
O: 0.000 0.758 0.255
O: 0.021 0.243 0.254
O: 0.242 0.000 0.255
O: 0.243 0.021 0.746
O: 0.250 0.250 0.000
O: 0.250 0.250 0.500
O: 0.250 0.750 0.023
O: 0.250 0.750 0.481
O: 0.257 0.479 0.746
O: 0.258 0.500 0.255
O: 0.479 0.257 0.254
O: 0.500 0.258 0.745
O: 0.500 0.742 0.255
O: 0.521 0.743 0.746
O: 0.742 0.500 0.745
O: 0.743 0.521 0.254
O: 0.750 0.250 0.519
O: 0.750 0.250 0.977
O: 0.750 0.750 0.000
O: 0.750 0.750 0.500
O: 0.757 0.979 0.254
O: 0.758 0.000 0.745
O: 0.979 0.757 0.746

Structure and calculated powder diffraction line list of BaNaScSi2O7 (a PBE-relaxed structure; Cu Kα (λ = 1.5418 Å)).
Lines closer than 0.1° are merged.

Main lines, by angle (2θ = 15–90°):
| 2theta | d_spacing | Rel. int. |
| --- | --- | --- |
| 25.29 | 3.522 | 99 |
| 26.22 | 3.399 | 67 |
| 30.18 | 2.961 | 52 |
| 30.29 | 2.951 | 76 |
| 31.44 | 2.846 | 74 |
| 32.63 | 2.744 | 58 |
| 32.92 | 2.721 | 100 |
| 38.14 | 2.360 | 54 |
| 40.41 | 2.232 | 35 |
| 42.15 | 2.144 | 56 |

Atomic structure:
a b c (Å): 6.914 5.692 8.930
angles (deg): 90.00 109.44 90.00
Element x y z (fractional)
Ba: 0.206 0.250 0.034
Ba: 0.794 0.750 0.966
Na: 0.231 0.250 0.502
Na: 0.769 0.750 0.498
Sc: 0.202 0.750 0.765
Sc: 0.798 0.250 0.235
Si: 0.140 0.750 0.343
Si: 0.447 0.750 0.181
Si: 0.553 0.250 0.819
Si: 0.860 0.250 0.657
O: 0.034 0.509 0.249
O: 0.034 0.991 0.249
O: 0.137 0.750 0.524
O: 0.238 0.750 0.024
O: 0.385 0.750 0.347
O: 0.419 0.013 0.813
O: 0.419 0.487 0.813
O: 0.581 0.513 0.187
O: 0.581 0.987 0.187
O: 0.615 0.250 0.653
O: 0.762 0.250 0.976
O: 0.863 0.250 0.476
O: 0.966 0.009 0.751
O: 0.966 0.491 0.751

Structure and calculated powder diffraction line list of Ba6Na2Si4O15 (a PBE-relaxed structure; Cu Kα (λ = 1.5418 Å)).
Lines closer than 0.1° are merged.

Main lines, by angle (2θ = 15–90°):
| 2theta | d_spacing | Rel. int. |
| --- | --- | --- |
| 21.00 | 4.229 | 44 |
| 22.30 | 3.986 | 21 |
| 29.12 | 3.067 | 27 |
| 30.62 | 2.919 | 28 |
| 30.82 | 2.901 | 100 |
| 36.98 | 2.431 | 27 |
| 38.21 | 2.356 | 19 |
| 42.76 | 2.115 | 27 |
| 52.70 | 1.737 | 18 |
| 54.56 | 1.682 | 15 |

Atomic structure:
a b c (Å): 9.655 7.973 11.679
angles (deg): 90.00 107.64 90.00
Element x y z (fractional)
Ba: 0.001 0.002 0.274
Ba: 0.001 0.498 0.774
Ba: 0.333 0.021 0.084
Ba: 0.333 0.479 0.584
Ba: 0.341 0.504 0.085
Ba: 0.341 0.996 0.585
Ba: 0.659 0.004 0.415
Ba: 0.659 0.496 0.915
Ba: 0.667 0.521 0.416
Ba: 0.667 0.979 0.916
Ba: 0.999 0.502 0.226
Ba: 0.999 0.998 0.726
Na: 0.321 0.748 0.831
Na: 0.321 0.752 0.331
Na: 0.679 0.248 0.669
Na: 0.679 0.252 0.169
Si: 0.036 0.710 0.509
Si: 0.036 0.790 0.009
Si: 0.379 0.245 0.845
Si: 0.379 0.255 0.345
Si: 0.621 0.745 0.655
Si: 0.621 0.755 0.155
Si: 0.964 0.210 0.991
Si: 0.964 0.290 0.491
O: 0.000 0.000 0.000
O: 0.000 0.500 0.500
O: 0.119 0.193 0.530
O: 0.119 0.307 0.030
O: 0.133 0.743 0.648
O: 0.133 0.757 0.148
O: 0.134 0.746 0.420
O: 0.134 0.754 0.920
O: 0.284 0.069 0.825
O: 0.284 0.431 0.325
O: 0.288 0.077 0.318
O: 0.288 0.423 0.818
O: 0.486 0.249 0.987
O: 0.486 0.251 0.487
O: 0.487 0.238 0.757
O: 0.487 0.262 0.257
O: 0.513 0.738 0.743
O: 0.513 0.762 0.243
O: 0.514 0.749 0.513
O: 0.514 0.751 0.013
O: 0.712 0.577 0.182
O: 0.712 0.923 0.682
O: 0.716 0.569 0.675
O: 0.716 0.931 0.175
O: 0.866 0.246 0.080
O: 0.866 0.254 0.580
O: 0.867 0.243 0.852
O: 0.867 0.257 0.352
O: 0.881 0.693 0.970
O: 0.881 0.807 0.470

Structure and calculated powder diffraction line list of BaNa2Si2O6 (a PBE-relaxed structure; Cu Kα (λ = 1.5418 Å)).
Lines closer than 0.1° are merged.

Main lines, by angle (2θ = 15–90°):
| 2theta | d_spacing | Rel. int. |
| --- | --- | --- |
| 21.48 | 4.137 | 54 |
| 24.02 | 3.705 | 100 |
| 25.13 | 3.544 | 97 |
| 25.37 | 3.511 | 54 |
| 28.17 | 3.168 | 64 |
| 29.67 | 3.011 | 47 |
| 30.97 | 2.888 | 80 |
| 37.25 | 2.414 | 81 |
| 39.24 | 2.296 | 39 |
| 39.89 | 2.260 | 37 |

Atomic structure:
a b c (Å): 5.777 4.829 11.560
angles (deg): 90.00 91.44 90.00
Element x y z (fractional)
Ba: 0.247 0.000 0.403
Ba: 0.753 0.500 0.597
Na: 0.208 0.509 0.177
Na: 0.315 0.012 0.012
Na: 0.685 0.512 0.988
Na: 0.792 0.009 0.823
Si: 0.177 0.551 0.846
Si: 0.276 0.057 0.693
Si: 0.724 0.557 0.307
Si: 0.823 0.051 0.154
O: 0.039 0.026 0.616
O: 0.100 0.011 0.177
O: 0.250 0.883 0.818
O: 0.277 0.490 0.975
O: 0.319 0.381 0.742
O: 0.491 0.484 0.376
O: 0.509 0.984 0.624
O: 0.681 0.881 0.258
O: 0.723 0.990 0.025
O: 0.750 0.383 0.182
O: 0.900 0.511 0.823
O: 0.961 0.526 0.384